Record 1
TbSm3Co: computed powder diffractogram (λ = 1.5418 Å (Cu Kα)), based on the PBE geometry in Alexandria.

Main lines, low angle first (15° ≤ 2θ ≤ 90°):
| 2θ (°) | d_spacing | I/Imax | index |
| --- | --- | --- | --- |
| 28.35 | 3.148 | 84 | 2 2 0 |
| 30.82 | 2.901 | 63 | 0 2 2 |
| 31.86 | 2.809 | 100 | 2 0 2 |
| 42.16 | 2.143 | 24 | 4 0 0 |
| 51.08 | 1.788 | 36 | 2 4 2 |
| 53.13 | 1.724 | 28 | 4 2 2 |

Structural model:
```
data_TbSm3Co
_cell_length_a 8.573
_cell_length_b 9.273
_cell_length_c 7.437
_cell_angle_alpha 90.00
_cell_angle_beta 90.00
_cell_angle_gamma 90.00
_symmetry_space_group_name_H-M 'I m m a'
_symmetry_Int_Tables_number 74
_symmetry_space_group_name_Hall '-I 2b 2'
loop_
_atom_site_label
_atom_site_type_symbol
_atom_site_fract_x
_atom_site_fract_y
_atom_site_fract_z
Tb1 Tb 0.000 0.250 0.029
Sm1 Sm 0.000 0.250 0.477
Sm2 Sm 0.250 0.036 0.750
Co1 Co 0.250 0.250 0.250
```

Record 2
CeGa4NiPt2: computed powder diffractogram (λ = 1.5418 Å (Cu Kα)), based on the PBE geometry in Alexandria.

Main lines, low angle first (15° ≤ 2θ ≤ 90°):
| 2θ (°) | d_spacing | I/Imax | index |
| --- | --- | --- | --- |
| 27.71 | 3.219 | 37 | 1 0 4 |
| 29.60 | 3.018 | 30 | 0 1 5 |
| 36.80 | 2.443 | 88 | 0 1 8 |
| 42.23 | 2.140 | 100 | 1 1 0 |
| 45.54 | 1.992 | 25 | 0 1 11 |
| 57.23 | 1.610 | 24 | 2 0 8 |

Structural model:
```
data_CeGa4NiPt2
_cell_length_a 4.2801
_cell_length_b 4.2801
_cell_length_c 25.9798
_cell_angle_alpha 90.00
_cell_angle_beta 90.00
_cell_angle_gamma 120.00
_symmetry_space_group_name_H-M 'R -3 m'
_symmetry_Int_Tables_number 166
_symmetry_space_group_name_Hall '-R 3 2"'
loop_
_atom_site_label
_atom_site_type_symbol
_atom_site_fract_x
_atom_site_fract_y
_atom_site_fract_z
Ce1 Ce 0.0000 0.0000 0.0000
Ga1 Ga 0.0000 0.0000 0.1343
Ga2 Ga 0.0000 0.0000 0.4008
Ni1 Ni 0.0000 0.0000 0.5000
Pt1 Pt 0.0000 0.0000 0.2374
```

Record 3
Ac3La4S8: computed powder diffractogram (λ = 1.5418 Å (Cu Kα)), based on the PBE geometry in Alexandria.

Main lines, low angle first (15° ≤ 2θ ≤ 90°):
| 2θ (°) | d_spacing | I/Imax | index |
| --- | --- | --- | --- |
| 25.74 | 3.462 | 38 | 2 2 0 |
| 25.89 | 3.442 | 38 | 2 2 -2 |
| 29.89 | 2.989 | 100 | 0 4 0 |
| 42.78 | 2.114 | 49 | 0 4 2 |
| 50.52 | 1.807 | 13 | 2 2 2 |
| 70.41 | 1.337 | 17 | 0 8 2 |

Structural model:
```
data_Ac3La4S8
_cell_length_a 11.942
_cell_length_b 11.959
_cell_length_c 8.418
_cell_angle_alpha 90.00
_cell_angle_beta 134.69
_cell_angle_gamma 90.00
_symmetry_space_group_name_H-M 'C 1 2/m 1'
_symmetry_Int_Tables_number 12
_symmetry_space_group_name_Hall '-C 2y'
loop_
_atom_site_label
_atom_site_type_symbol
_atom_site_fract_x
_atom_site_fract_y
_atom_site_fract_z
Ac1 Ac 0.000 0.000 0.000
Ac2 Ac 0.250 0.250 0.500
La1 La 0.000 0.500 0.000
La2 La 0.000 0.500 0.500
La3 La 0.250 0.250 0.000
S1 S 0.000 0.253 0.000
S2 S 0.000 0.255 0.500
S3 S 0.241 0.500 0.493
S4 S 0.242 0.500 0.990
```

Record 4
Li3La2Cu12Si: computed powder diffractogram (λ = 1.5418 Å (Cu Kα)), based on the PBE geometry in Alexandria.

Main lines, low angle first (15° ≤ 2θ ≤ 90°):
| 2θ (°) | d_spacing | I/Imax | index |
| --- | --- | --- | --- |
| 28.69 | 3.112 | 33 | 1 0 7 |
| 30.98 | 2.887 | 48 | 1 1 3 |
| 35.59 | 2.523 | 42 | 1 1 6 |
| 36.56 | 2.458 | 100 | 0 2 4 |
| 37.45 | 2.401 | 42 | 1 0 10 |
| 45.98 | 1.974 | 33 | 1 2 2 |

Structural model:
```
data_Li3La2Cu12Si
_cell_length_a 6.0959
_cell_length_b 6.0959
_cell_length_c 26.9657
_cell_angle_alpha 90.00
_cell_angle_beta 90.00
_cell_angle_gamma 120.00
_symmetry_space_group_name_H-M 'R -3 m'
_symmetry_Int_Tables_number 166
_symmetry_space_group_name_Hall '-R 3 2"'
loop_
_atom_site_label
_atom_site_type_symbol
_atom_site_fract_x
_atom_site_fract_y
_atom_site_fract_z
Li1 Li 0.0000 0.5000 0.0000
La1 La 0.0000 0.0000 0.1491
Cu1 Cu 0.0499 0.5250 0.0963
Cu2 Cu 0.0709 0.5354 0.6187
Si1 Si 0.0000 0.0000 0.5000
```